Starting from a cell relaxed with PBE, the X-ray powder pattern of PuSi2Os2 was calculated for λ = 1.5418 Å (Cu Kα).
Peak positions follow from Bragg's law for the DFT cell and can differ from measured ones.

Top 8 peaks for 10° ≤ 2θ ≤ 90°, low angle first:
2θ/deg	I (rel.)
23.47	29
35.43	21
36.01	100
37.34	19
43.92	34
58.98	20
66.48	17
75.56	24

Cell and atoms:
abc: 5.6302 5.6302 5.6302
angles: 137.05 137.05 62.36
Sites, in units of the cell vectors:
Pu1 0.0000 0.0000 0.0000
Si1 0.3768 0.3768 0.0000
Si2 0.6232 0.6232 0.0000
Os1 0.2500 0.7500 0.5000
Os2 0.7500 0.2500 0.5000